Entry 1:
Simulated X-ray diffraction stick pattern of Pm3Pd2Au3 for copper Kα, from a PBE-relaxed structure.
No peak broadening, texture or thermal motion is included.

Main lines, low angle first (10° ≤ 2θ ≤ 90°):
2θ/deg, Rel. int., hkl
31.42, 100, 1 1 4
33.85, 28, 1 3 0
34.24, 13, 0 4 0
34.63, 20, 0 4 1
35.16, 22, 1 1 5
37.38, 65, 1 3 3
39.94, 28, 1 3 4
40.26, 26, 0 4 4
40.40, 20, 0 2 7
41.83, 14, 0 0 8
44.64, 32, 2 0 0
61.66, 17, 2 4 4

Cell and atoms:
```
data_Pm3Pd2Au3
_chemical_formula_sum 'Pm12 Pd8 Au12'
_symmetry_space_group_name_H-M 'C m c m'
_symmetry_Int_Tables_number 63
_symmetry_space_group_name_Hall '-C 2c 2'
_cell_length_a 4.0598
_cell_length_b 10.4791
_cell_length_c 17.2771
_cell_angle_alpha 90.00
_cell_angle_beta 90.00
_cell_angle_gamma 90.00
loop_
_atom_site_label
_atom_site_type_symbol
_atom_site_fract_x
_atom_site_fract_y
_atom_site_fract_z
Pm1 Pm 0.0000 0.0651 0.1026
Pm2 Pm 0.0000 0.3299 0.2500
Pd1 Pd 0.0000 0.2250 0.6238
Au1 Au 0.0000 0.3651 0.0281
Au2 Au 0.0000 0.3917 0.7500
```

Entry 2:
Simulated X-ray diffraction stick pattern of CoB2W3 for copper Kα, from a PBE-relaxed structure.
No peak broadening, texture or thermal motion is included.

Main lines, low angle first (10° ≤ 2θ ≤ 90°):
2θ/deg, Rel. int., hkl
30.10, 23, 0 0 6
33.91, 51, 1 0 1
35.05, 20, 1 0 2
39.31, 100, 1 0 4
40.51, 19, 0 0 8
42.27, 49, 1 0 5
57.98, 19, 1 0 9
59.94, 34, 1 1 0
62.67, 13, 1 0 10
68.53, 14, 1 1 6
74.06, 15, 2 0 4
74.86, 18, 1 1 8

Cell and atoms:
```
data_CoB2W3
_chemical_formula_sum 'Co2 B4 W6'
_symmetry_space_group_name_H-M 'P 63/m m c'
_symmetry_Int_Tables_number 194
_symmetry_space_group_name_Hall '-P 6c 2c'
_cell_length_a 3.0863
_cell_length_b 3.0863
_cell_length_c 17.8137
_cell_angle_alpha 90.00
_cell_angle_beta 90.00
_cell_angle_gamma 120.00
loop_
_atom_site_label
_atom_site_type_symbol
_atom_site_fract_x
_atom_site_fract_y
_atom_site_fract_z
Co1 Co 0.0000 0.0000 0.2500
B1 B 0.3333 0.6667 0.0750
W1 W 0.0000 0.0000 0.0000
W2 W 0.3333 0.6667 0.6434
```

Entry 3:
Simulated X-ray diffraction stick pattern of RbBeTe3Ir for copper Kα, from a PBE-relaxed structure.
No peak broadening, texture or thermal motion is included.

Main lines, low angle first (10° ≤ 2θ ≤ 90°):
2θ/deg, Rel. int., hkl
10.93, 100, 0 2 0
16.86, 17, 0 0 2
20.14, 38, 0 2 2
27.21, 39, 1 3 0
27.74, 26, 0 2 3
28.53, 44, 1 3 1
32.19, 23, 1 3 2
34.08, 35, 0 0 4
35.24, 31, 1 5 0
39.31, 45, 1 5 2
43.91, 22, 2 0 0
51.64, 22, 1 3 5

Cell and atoms:
```
data_RbBeTe3Ir
_chemical_formula_sum 'Rb4 Be4 Te12 Ir4'
_symmetry_space_group_name_H-M 'C m c m'
_symmetry_Int_Tables_number 63
_symmetry_space_group_name_Hall '-C 2c 2'
_cell_length_a 4.1242
_cell_length_b 16.1896
_cell_length_c 10.5171
_cell_angle_alpha 90.00
_cell_angle_beta 90.00
_cell_angle_gamma 90.00
loop_
_atom_site_label
_atom_site_type_symbol
_atom_site_fract_x
_atom_site_fract_y
_atom_site_fract_z
Rb1 Rb 0.0000 0.2457 0.2500
Be1 Be 0.0000 0.4671 0.7500
Te1 Te 0.0000 0.0573 0.7500
Te2 Te 0.0000 0.3953 0.5464
Ir1 Ir 0.0000 0.0000 0.0000
```

Entry 4:
Simulated X-ray diffraction stick pattern of TaTeCl9 for copper Kα, from a PBE-relaxed structure.
No peak broadening, texture or thermal motion is included.

Main lines, low angle first (10° ≤ 2θ ≤ 90°):
2θ/deg, Rel. int., hkl
10.72, 23, 2 0 -2
14.90, 100, 1 1 -1
16.93, 66, 4 0 -2
18.55, 20, 3 1 -1
18.89, 41, 0 0 4
24.77, 33, 5 1 -1
25.78, 18, 3 1 3
26.81, 30, 1 1 -5
31.11, 23, 3 1 -6
31.99, 20, 7 1 -2
33.75, 17, 2 2 3
40.72, 20, 4 2 4

Cell and atoms:
```
data_TaTeCl9
_chemical_formula_sum 'Ta8 Te8 Cl72'
_symmetry_space_group_name_H-M 'C 1 2/c 1'
_symmetry_Int_Tables_number 15
_cell_length_a 21.8120
_cell_length_b 6.3717
_cell_length_c 19.6078
_cell_angle_alpha 90.00
_cell_angle_beta 106.55
_cell_angle_gamma 90.00
loop_
_symmetry_equiv_pos_as_xyz
'x,y,z'
'-x,-y,-z'
'-x,y,-z+1/2'
'x,-y,z+1/2'
'x+1/2,y+1/2,z'
'-x+1/2,-y+1/2,-z'
'-x+1/2,y+1/2,-z+1/2'
'x+1/2,-y+1/2,z+1/2'
loop_
_atom_site_label
_atom_site_type_symbol
_atom_site_fract_x
_atom_site_fract_y
_atom_site_fract_z
Ta1 Ta 0.1460 0.2049 0.3747
Te1 Te 0.0808 0.3004 0.1589
Cl1 Cl 0.0244 0.4139 0.5936
Cl2 Cl 0.0421 0.0441 0.3590
Cl3 Cl 0.0853 0.4800 0.2947
Cl4 Cl 0.0891 0.1013 0.0603
Cl5 Cl 0.1370 0.3827 0.4728
Cl6 Cl 0.1465 0.0123 0.2642
Cl7 Cl 0.1804 0.4600 0.1740
Cl8 Cl 0.1962 0.0824 0.9361
Cl9 Cl 0.2379 0.3767 0.3718
```

Entry 5:
Simulated X-ray diffraction stick pattern of CoHg2 for copper Kα, from a PBE-relaxed structure.
No peak broadening, texture or thermal motion is included.

Main lines, low angle first (10° ≤ 2θ ≤ 90°):
2θ/deg, Rel. int., hkl
23.05, 22, 1 0 0
35.89, 100, 0 1 1
40.49, 61, 1 1 0
47.10, 4, 2 0 0
55.20, 29, 2 0 1
61.30, 14, 1 0 2
70.65, 28, 1 2 1
71.30, 10, 1 1 2
73.64, 11, 3 0 0
76.07, 7, 0 2 2
87.58, 7, 2 2 0
89.92, 10, 2 1 2

Cell and atoms:
```
data_CoHg2
_chemical_formula_sum 'Co1 Hg2'
_symmetry_space_group_name_H-M 'P -3 m 1'
_symmetry_Int_Tables_number 164
_symmetry_space_group_name_Hall '-P 3 2"'
_cell_length_a 4.4560
_cell_length_b 4.4560
_cell_length_c 3.2873
_cell_angle_alpha 90.00
_cell_angle_beta 90.00
_cell_angle_gamma 120.00
loop_
_atom_site_label
_atom_site_type_symbol
_atom_site_fract_x
_atom_site_fract_y
_atom_site_fract_z
Co1 Co 0.0000 0.0000 0.0000
Hg1 Hg 0.3333 0.6667 0.2876
```

Entry 6:
Simulated X-ray diffraction stick pattern of ZnSiAsP for copper Kα, from a PBE-relaxed structure.
No peak broadening, texture or thermal motion is included.

Main lines, low angle first (10° ≤ 2θ ≤ 90°):
2θ/deg, Rel. int., hkl
17.98, 34, 1 1 0
28.07, 46, 2 0 0
28.19, 100, 0 2 1
28.30, 54, 2 0 -2
29.60, 18, 1 1 1
37.22, 17, 1 3 0
46.38, 47, 0 4 0
46.96, 46, 2 2 1
47.25, 45, 2 2 -3
55.05, 29, 4 2 -1
55.25, 26, 2 4 -2
56.44, 15, 0 2 3

Cell and atoms:
```
data_ZnSiAsP
_chemical_formula_sum 'Zn4 Si4 As4 P4'
_symmetry_space_group_name_H-M 'C 1 c 1'
_symmetry_Int_Tables_number 9
_cell_length_a 7.8317
_cell_length_b 7.8320
_cell_length_c 6.6273
_cell_angle_alpha 90.00
_cell_angle_beta 125.74
_cell_angle_gamma 90.00
loop_
_symmetry_equiv_pos_as_xyz
'x,y,z'
'x,-y,z+1/2'
'x+1/2,y+1/2,z'
'x+1/2,-y+1/2,z+1/2'
loop_
_atom_site_label
_atom_site_type_symbol
_atom_site_fract_x
_atom_site_fract_y
_atom_site_fract_z
Zn1 Zn 0.0000 0.1326 0.0000
Si1 Si 0.4850 0.1178 0.0000
As1 As 0.3592 0.3679 0.7501
P1 P 0.3743 0.1166 0.2499
```

Entry 7:
Simulated X-ray diffraction stick pattern of In2Ag2TeS3 for copper Kα, from a PBE-relaxed structure.
No peak broadening, texture or thermal motion is included.

Main lines, low angle first (10° ≤ 2θ ≤ 90°):
2θ/deg, Rel. int., hkl
25.41, 100, 1 1 1
25.78, 92, 3 1 -1
41.97, 65, 2 0 2
42.80, 40, 4 2 0
42.94, 19, 6 0 -2
49.18, 15, 1 1 -3
49.82, 13, 5 1 -3
50.00, 13, 1 3 1
50.21, 13, 3 3 -1
50.66, 13, 5 1 1
51.28, 12, 7 1 -1
77.83, 11, 6 2 2

Cell and atoms:
```
data_In2Ag2TeS3
_chemical_formula_sum 'In4 Ag4 Te2 S6'
_symmetry_space_group_name_H-M 'C 1 2 1'
_symmetry_Int_Tables_number 5
_cell_length_a 13.2072
_cell_length_b 6.0423
_cell_length_c 6.1389
_cell_angle_alpha 90.00
_cell_angle_beta 116.47
_cell_angle_gamma 90.00
loop_
_symmetry_equiv_pos_as_xyz
'x,y,z'
'-x,y,-z'
'x+1/2,y+1/2,z'
'-x+1/2,y+1/2,-z'
loop_
_atom_site_label
_atom_site_type_symbol
_atom_site_fract_x
_atom_site_fract_y
_atom_site_fract_z
In1 In 0.1291 0.0000 0.3918
Ag1 Ag 0.1379 0.4627 0.8666
Te1 Te 0.0000 0.7245 0.0000
S1 S 0.0000 0.2320 0.5000
S2 S 0.2499 0.2405 0.2654
```

Entry 8:
Simulated X-ray diffraction stick pattern of HgB6 for copper Kα, from a PBE-relaxed structure.
No peak broadening, texture or thermal motion is included.

Main lines, low angle first (10° ≤ 2θ ≤ 90°):
2θ/deg, Rel. int., hkl
21.23, 76, 1 0 0
30.21, 100, 1 1 0
37.22, 42, 1 1 1
43.24, 21, 2 0 0
48.66, 52, 2 1 0
53.65, 32, 2 1 1
62.81, 11, 2 2 0
67.11, 28, 2 2 1
71.27, 20, 3 1 0
75.33, 14, 3 1 1
83.26, 10, 3 2 0
87.16, 20, 3 2 1

Cell and atoms:
```
data_HgB6
_chemical_formula_sum 'Hg1 B6'
_symmetry_space_group_name_H-M 'P m -3 m'
_symmetry_Int_Tables_number 221
_symmetry_space_group_name_Hall '-P 4 2 3'
_cell_length_a 4.1842
_cell_length_b 4.1842
_cell_length_c 4.1842
_cell_angle_alpha 90.00
_cell_angle_beta 90.00
_cell_angle_gamma 90.00
loop_
_atom_site_label
_atom_site_type_symbol
_atom_site_fract_x
_atom_site_fract_y
_atom_site_fract_z
Hg1 Hg 0.0000 0.0000 0.0000
B1 B 0.1994 0.5000 0.5000
```